Calculated X-ray powder pattern
Compound: Eu3Pd
Radiation: λ = 1.5418 Å (Cu Kα)
Structure: the PBE geometry in the Materials Project
No peak broadening, texture or thermal motion is included.

Main lines, most intense first (5° ≤ 2θ ≤ 70°):
- 27.42 deg, I = 100, (1 0 4)
- 43.52 deg, I = 37, (1 1 0)
- 28.84 deg, I = 26, (0 1 5)
- 34.37 deg, I = 24, (0 1 8)
- 8.76 deg, I = 20, (0 0 3)
- 49.14 deg, I = 19, (0 1 14)
- 26.50 deg, I = 18, (0 0 9)
- 51.68 deg, I = 17, (1 1 9)
- 52.21 deg, I = 17, (0 2 4)
- 32.35 deg, I = 15, (1 0 7)
- 38.86 deg, I = 14, (1 0 10)
- 41.29 deg, I = 8, (0 1 11)

Crystal structure
```
data_Eu3Pd
_symmetry_space_group_name_H-M 'R -3 m'
_symmetry_Int_Tables_number 166
_symmetry_space_group_name_Hall '-R 3 2"'
_cell_length_a 4.1590
_cell_length_b 4.1590
_cell_length_c 30.2723
_cell_angle_alpha 90.00
_cell_angle_beta 90.00
_cell_angle_gamma 120.00
loop_
_atom_site_label
_atom_site_fract_x
_atom_site_fract_y
_atom_site_fract_z
Eu1 0.0000 0.0000 0.0000
Eu2 0.0000 0.0000 0.2231
Pd1 0.0000 0.0000 0.5000
```